Diffraction record for Fe3N2. The powder XRD pattern is calculated, not measured: it uses DFT lattice parameters and positions (PBE) and a wavelength of 1.5418 Å.
Neutral-atom scattering factors, no anomalous dispersion.

Most intense lines, 2θ = 10–90°, sorted by position:
2θ (°)  I (rel.)  (hkl)
39.75  100.0  2 0 3
40.64  84.0  1 1 2
47.30  36.0  2 1 1
48.48  32.2  3 0 1
48.88  41.3  0 0 6
49.49  45.1  2 1 2

Cell and atoms:
```
data_Fe3N2
_cell_length_a 5.714
_cell_length_b 2.670
_cell_length_c 11.180
_cell_angle_alpha 90.00
_cell_angle_beta 90.00
_cell_angle_gamma 90.00
_space_group_name_H-M_alt 'P n m a'
_space_group_IT_number 62
loop_
_space_group_symop_operation_xyz
'x,y,z'
'-x,-y,-z'
'-x+1/2,-y,z+1/2'
'x+1/2,y,-z+1/2'
'x+1/2,-y+1/2,-z+1/2'
'-x+1/2,y+1/2,z+1/2'
'-x,y+1/2,-z'
'x,-y+1/2,z'
loop_
_atom_site_label
_atom_site_type_symbol
_atom_site_fract_x
_atom_site_fract_y
_atom_site_fract_z
Fe1 Fe 0.049 0.250 0.097
Fe2 Fe 0.152 0.750 0.431
Fe3 Fe 0.160 0.250 0.732
N1 N 0.100 0.250 0.291
N2 N 0.212 0.250 0.557
```